Record 1
Theoretical X-ray powder pattern
Compound: Li5Mn8B8O24
Radiation: Cu Kα X-rays
Structure: the GGA+U geometry in the Materials Project
Peak positions follow from Bragg's law for the DFT cell and can differ from measured ones.

Peak list (10 most intense, 10° ≤ 2θ ≤ 90°, in order of rising 2θ)
- 2θ = 19.31°, d = 4.596 Å, I 38
- 2θ = 19.50°, d = 4.553 Å, I 73
- 2θ = 21.28°, d = 4.175 Å, I 100
- 2θ = 21.37°, d = 4.157 Å, I 29
- 2θ = 25.74°, d = 3.461 Å, I 73
- 2θ = 26.17°, d = 3.406 Å, I 42
- 2θ = 34.00°, d = 2.637 Å, I 66
- 2θ = 34.75°, d = 2.582 Å, I 90
- 2θ = 40.06°, d = 2.251 Å, I 46
- 2θ = 53.16°, d = 1.723 Å, I 28

```
Li5Mn8B8O24
1.0
5.325 0.000 0.000
-0.004 9.107 0.000
-0.190 -0.062 10.326
Li Mn B O
5 8 8 24
Direct
0.000 0.000 0.000
0.028 0.977 0.505
0.316 0.004 0.767
0.500 0.476 0.489
0.531 0.510 0.018
0.017 0.313 0.042
0.298 0.677 0.296
0.334 0.348 0.788
0.501 0.850 0.056
0.511 0.163 0.542
0.805 0.804 0.796
0.822 0.148 0.292
0.996 0.630 0.550
0.323 0.322 0.290
0.331 0.685 0.808
0.485 0.818 0.554
0.492 0.172 0.040
0.827 0.803 0.307
0.828 0.156 0.805
0.992 0.315 0.548
0.996 0.660 0.045
0.093 0.290 0.224
0.098 0.690 0.745
0.232 0.685 0.104
0.246 0.336 0.585
0.340 0.052 0.036
0.362 0.948 0.569
0.378 0.696 0.489
0.396 0.312 0.011
0.401 0.462 0.308
0.446 0.821 0.841
0.450 0.558 0.835
0.457 0.204 0.339
0.583 0.170 0.759
0.591 0.793 0.248
0.728 0.797 0.606
0.749 0.155 0.073
0.828 0.429 0.552
0.880 0.787 0.989
0.888 0.527 0.039
0.909 0.176 0.507
0.941 0.934 0.325
0.944 0.672 0.345
0.948 0.021 0.807
0.964 0.279 0.852
```

---

Record 2
Theoretical X-ray powder pattern
Compound: Fe3H9S2O15
Radiation: Cu Kα X-rays
Structure: the GGA+U geometry in the Materials Project
Peak positions follow from Bragg's law for the DFT cell and can differ from measured ones.

Peak list (10 most intense, 10° ≤ 2θ ≤ 90°, in order of rising 2θ)
- 2θ = 15.31°, d = 5.788 Å, I 36
- 2θ = 17.12°, d = 5.180 Å, I 93
- 2θ = 28.12°, d = 3.173 Å, I 94
- 2θ = 28.49°, d = 3.133 Å, I 100
- 2θ = 34.63°, d = 2.590 Å, I 24
- 2θ = 38.90°, d = 2.315 Å, I 31
- 2θ = 44.95°, d = 2.017 Å, I 34
- 2θ = 48.88°, d = 1.863 Å, I 38
- 2θ = 58.96°, d = 1.567 Å, I 19
- 2θ = 60.55°, d = 1.529 Å, I 25

```
Fe3H9S2O15
1.0
3.727 2.152 5.788
-3.727 2.152 5.788
0.000 -4.303 5.788
Fe H S O
3 9 2 15
Direct
0.169 0.169 0.662
0.169 0.662 0.169
0.662 0.169 0.169
0.060 0.060 0.269
0.060 0.269 0.060
0.269 0.060 0.060
0.453 0.856 0.856
0.467 0.467 0.886
0.467 0.886 0.467
0.856 0.453 0.856
0.856 0.856 0.453
0.886 0.467 0.467
0.474 0.474 0.474
0.861 0.861 0.861
0.042 0.439 0.439
0.157 0.157 0.157
0.290 0.913 0.913
0.336 0.336 0.663
0.336 0.663 0.336
0.439 0.042 0.439
0.439 0.439 0.042
0.559 0.559 0.559
0.663 0.336 0.336
0.671 0.999 0.999
0.776 0.776 0.776
0.913 0.290 0.913
0.913 0.913 0.290
0.999 0.671 0.999
0.999 0.999 0.671
```